(1)
The following is a simulated powder diffractogram of PmUCu. It was derived from a GGA-PBE-relaxed structure, using Cu Kα (λ = 1.5418 Å).

Most intense lines, 2θ = 5–70°, by intensity:
Position (°2θ)	I_rel
37.2	100
32.2	33
10.6	31
36.1	28
65.6	21
49.1	20
60.7	18
33.9	10
21.3	10
27.9	9
67.9	8
58.0	7

Structure:
```
PmUCu
1.0
3.180 0.000 0.000
0.000 16.703 0.000
0.000 0.000 4.981
Pm U Cu
4 4 4
direct
0.000 0.072 0.250
0.000 0.928 0.750
0.500 0.428 0.750
0.500 0.572 0.250
0.000 0.246 0.750
0.000 0.754 0.250
0.500 0.254 0.250
0.500 0.746 0.750
0.000 0.400 0.250
0.000 0.600 0.750
0.500 0.100 0.750
0.500 0.900 0.250
```



(2)
The following is a simulated powder diffractogram of Ac8Pd5Ru. It was derived from a GGA-PBE-relaxed structure, using Cu Kα (λ = 1.5418 Å).

Most intense lines, 2θ = 5–70°, by intensity:
Position (°2θ)	I_rel
29.8	100
29.5	52
35.4	46
35.2	30
26.5	28
49.0	23
48.8	20
26.6	18
48.7	16
46.9	16
60.2	14
44.7	13

Structure:
```
Ac8Pd5Ru
1.0
-4.735 4.735 4.791
4.735 -4.735 4.791
4.735 4.735 -4.791
Ac Pd Ru
8 5 1
direct
0.019 0.872 0.259
0.127 0.382 0.635
0.128 0.386 0.147
0.239 0.981 0.853
0.508 0.873 0.255
0.614 0.761 0.741
0.618 0.253 0.745
0.747 0.492 0.365
0.379 0.248 0.371
0.500 0.500 0.000
0.752 0.123 0.130
0.877 0.007 0.629
0.993 0.621 0.870
0.250 0.750 0.500
```



(3)
The following is a simulated powder diffractogram of Na8HfTe6. It was derived from a GGA-PBE-relaxed structure, using Cu Kα (λ = 1.5418 Å).

Most intense lines, 2θ = 5–70°, by intensity:
Position (°2θ)	I_rel
19.6	100
39.8	94
24.4	74
23.7	73
23.3	54
12.1	50
11.8	45
22.7	42
13.8	37
41.4	30
40.8	30
34.8	28

Structure:
```
Na8HfTe6
1.0
8.856 0.000 0.000
0.000 9.268 0.000
0.000 0.000 12.848
Na Hf Te
16 2 12
direct
0.000 0.122 0.000
0.000 0.248 0.443
0.181 0.626 0.114
0.199 0.566 0.812
0.230 0.922 0.760
0.270 0.078 0.260
0.301 0.434 0.312
0.319 0.374 0.614
0.500 0.752 0.943
0.500 0.878 0.500
0.681 0.374 0.614
0.699 0.434 0.312
0.730 0.078 0.260
0.770 0.922 0.760
0.801 0.566 0.812
0.819 0.626 0.114
0.000 0.751 0.462
0.500 0.249 0.962
0.000 0.306 0.211
0.000 0.512 0.592
0.000 0.777 0.938
0.000 0.990 0.584
0.250 0.240 0.838
0.250 0.760 0.338
0.500 0.010 0.084
0.500 0.223 0.438
0.500 0.488 0.092
0.500 0.694 0.711
0.750 0.240 0.838
0.750 0.760 0.338
```



(4)
The following is a simulated powder diffractogram of La12CdIn4N3. It was derived from a GGA-PBE-relaxed structure, using Cu Kα (λ = 1.5418 Å).

Most intense lines, 2θ = 5–70°, by intensity:
Position (°2θ)	I_rel
29.1	100
33.8	68
48.5	45
57.6	38
60.4	14
31.5	6
39.8	6
16.7	5
64.5	5
26.5	4
35.9	4
69.7	4

Structure:
```
La12CdIn4N3
1.0
-5.310 5.310 5.310
5.310 -5.310 5.310
5.310 5.310 -5.310
La Cd In N
12 1 4 3
direct
0.000 0.280 0.280
0.000 0.720 0.720
0.250 0.500 0.750
0.250 0.750 0.500
0.280 0.000 0.280
0.280 0.280 0.000
0.500 0.250 0.750
0.500 0.750 0.250
0.720 0.000 0.720
0.720 0.720 0.000
0.750 0.250 0.500
0.750 0.500 0.250
0.000 0.000 0.000
0.000 0.000 0.500
0.000 0.500 0.000
0.500 0.000 0.000
0.500 0.500 0.500
0.000 0.500 0.500
0.500 0.000 0.500
0.500 0.500 0.000
```



Repeat the second record exactly.
The following is a simulated powder diffractogram of Ac8Pd5Ru. It was derived from a GGA-PBE-relaxed structure, using Cu Kα (λ = 1.5418 Å).

Most intense lines, 2θ = 5–70°, by intensity:
Position (°2θ)	I_rel
29.8	100
29.5	52
35.4	46
35.2	30
26.5	28
49.0	23
48.8	20
26.6	18
48.7	16
46.9	16
60.2	14
44.7	13

Structure:
```
Ac8Pd5Ru
1.0
-4.735 4.735 4.791
4.735 -4.735 4.791
4.735 4.735 -4.791
Ac Pd Ru
8 5 1
direct
0.019 0.872 0.259
0.127 0.382 0.635
0.128 0.386 0.147
0.239 0.981 0.853
0.508 0.873 0.255
0.614 0.761 0.741
0.618 0.253 0.745
0.747 0.492 0.365
0.379 0.248 0.371
0.500 0.500 0.000
0.752 0.123 0.130
0.877 0.007 0.629
0.993 0.621 0.870
0.250 0.750 0.500
```